This entry pairs a crystal structure of Li3MoP2O9 with its computed X-ray diffraction stick pattern. Radiation: Cu Kα, 1.54184 Å. Structure: the PBE+U geometry in Alexandria.

Structural model:
abc: 7.165 7.202 7.992
angles: 88.61 64.47 87.26
Element x y z (fractional)
Li1 0.000 0.000 0.000
Li2 0.056 0.254 0.310
Li3 0.219 0.491 0.639
Li4 0.507 0.408 0.065
Li5 0.607 0.094 0.570
Li6 0.825 0.748 0.820
Mo1 0.056 0.756 0.313
Mo2 0.550 0.749 0.324
P1 0.163 0.048 0.574
P2 0.442 0.996 0.012
P3 0.676 0.508 0.622
P4 0.933 0.454 0.067
O1 0.015 0.554 0.882
O2 0.043 0.947 0.755
O3 0.045 0.523 0.190
O4 0.066 0.994 0.435
O5 0.172 0.256 0.570
O6 0.235 0.877 0.078
O7 0.295 0.647 0.347
O8 0.375 0.178 0.116
O9 0.399 0.968 0.483
O10 0.512 0.606 0.558
O11 0.549 0.997 0.805
O12 0.589 0.873 0.080
O13 0.590 0.512 0.830
O14 0.694 0.519 0.173
O15 0.751 0.324 0.521
O16 0.807 0.856 0.288
O17 0.866 0.646 0.553
O18 0.953 0.246 0.076

Most intense lines, 2θ from 15° to 90°, sorted by position:
2θ = 17.41°, intensity 100, hkl 0 1 1
2θ = 18.07°, intensity 28, hkl 1 1 0
2θ = 27.30°, intensity 20, hkl 2 1 1
2θ = 27.64°, intensity 90, hkl 0 2 1
2θ = 27.73°, intensity 55, hkl 0 1 -2
2θ = 28.05°, intensity 30, hkl 2 0 2
2θ = 28.39°, intensity 40, hkl 2 -1 1
2θ = 34.50°, intensity 21, hkl 2 2 1